Na3PrSm2Pb3: theoretical XRD peak list (Cu Ka), based on a cell relaxed with GGA-PBE.
Lines closer than 0.1° are merged.

Cell and atoms:
Cell lengths 5.2423, 5.2423, 10.8320 Å; angles 90.00, 90.00, 120.00 degrees
Space group P-6m2 (No. 187)
Asymmetric unit:
Na: 0.0000 0.0000 0.0000 x1
Na: 0.6667 0.3333 0.3127 x2
Pr: 0.3333 0.6667 0.5000 x1
Sm: 0.3333 0.6667 0.1648 x2
Pb: 0.0000 0.0000 0.3405 x2
Pb: 0.6667 0.3333 0.0000 x1

Largest 12 diffraction maxima, in order of falling intensity, 10 to 90 degrees two-theta:
2θ/deg  d (Å)  I (rel.)
31.66  2.826  100
34.21  2.621  82
21.22  4.187  45
59.66  1.550  33
47.30  1.922  33
62.46  1.487  28
25.60  3.479  20
61.25  1.513  15
80.84  1.189  14
38.72  2.326  14
83.32  1.160  13
72.06  1.311  10